1.
BaCa2Cl: simulated X-ray powder pattern (a wavelength of 1.5418 Å), based on a DFT-relaxed cell (GGA-PBE, Alexandria).

Principal peaks in the range 10 to 90 degrees two-theta, in order of rising 2θ:
two_theta  I_rel
14.28  50
23.51  24
24.51  56
25.59  47
29.62  100
31.81  19
34.22  19
39.84  22
40.56  19
46.44  27

Atomic structure:
```
data_BaCa2Cl
_chemical_formula_sum 'Ba1 Ca2 Cl1'
_symmetry_space_group_name_H-M 'P 1'
_symmetry_Int_Tables_number 1
_cell_length_a 7.2494
_cell_length_b 7.2494
_cell_length_c 7.2494
_cell_angle_alpha 148.04
_cell_angle_beta 119.86
_cell_angle_gamma 69.74
loop_
_symmetry_equiv_pos_as_xyz
'x,y,z'
loop_
_atom_site_label
_atom_site_type_symbol
_atom_site_fract_x
_atom_site_fract_y
_atom_site_fract_z
_atom_site_occupancy
Ba1 Ba 0.0000 0.0000 0.0000 1
Ca1 Ca 0.3214 0.8214 0.5000 1
Ca2 Ca 0.6144 0.6144 0.0000 1
Cl1 Cl 0.7845 0.2845 0.5000 1
```

=====

2.
BaZrCr2: simulated X-ray powder pattern (a wavelength of 1.5418 Å), based on a DFT-relaxed cell (GGA-PBE, Alexandria).

Principal peaks in the range 10 to 90 degrees two-theta, in order of rising 2θ:
two_theta  I_rel
24.57  32
25.87  47
30.45  100
32.92  86
38.82  22
45.01  66
49.40  25
51.95  24
53.27  18
59.79  19

Atomic structure:
```
data_BaZrCr2
_chemical_formula_sum 'Ba1 Zr1 Cr2'
_symmetry_space_group_name_H-M 'P 1'
_symmetry_Int_Tables_number 1
_cell_length_a 7.6101
_cell_length_b 7.6101
_cell_length_c 7.6101
_cell_angle_alpha 30.69
_cell_angle_beta 30.69
_cell_angle_gamma 30.69
loop_
_symmetry_equiv_pos_as_xyz
'x,y,z'
loop_
_atom_site_label
_atom_site_type_symbol
_atom_site_fract_x
_atom_site_fract_y
_atom_site_fract_z
_atom_site_occupancy
Ba1 Ba 0.0000 0.0000 0.0000 1
Zr1 Zr 0.1907 0.1907 0.1907 1
Cr1 Cr 0.4628 0.4628 0.4628 1
Cr2 Cr 0.7786 0.7786 0.7786 1
```

=====

3.
Ba3Ga4Cu2: simulated X-ray powder pattern (a wavelength of 1.5418 Å), based on a DFT-relaxed cell (GGA-PBE, Alexandria).

Principal peaks in the range 10 to 90 degrees two-theta, in order of rising 2θ:
two_theta  I_rel
25.94  100
26.09  18
31.51  78
32.19  49
32.70  36
33.38  20
33.91  31
40.33  57
50.74  20
55.50  20

Atomic structure:
```
data_Ba3Ga4Cu2
_chemical_formula_sum 'Ba3 Ga4 Cu2'
_symmetry_space_group_name_H-M 'P 1'
_symmetry_Int_Tables_number 1
_cell_length_a 8.9577
_cell_length_b 8.9577
_cell_length_c 7.5015
_cell_angle_alpha 113.10
_cell_angle_beta 113.10
_cell_angle_gamma 28.93
loop_
_symmetry_equiv_pos_as_xyz
'x,y,z'
loop_
_atom_site_label
_atom_site_type_symbol
_atom_site_fract_x
_atom_site_fract_y
_atom_site_fract_z
_atom_site_occupancy
Ba1 Ba 0.0000 0.0000 0.0000 1
Ba2 Ba 0.1560 0.1560 0.5732 1
Ba3 Ba 0.8440 0.8440 0.4268 1
Ga1 Ga 0.2113 0.2113 0.0830 1
Ga2 Ga 0.4806 0.4806 0.3220 1
Ga3 Ga 0.5194 0.5194 0.6780 1
Ga4 Ga 0.7887 0.7887 0.9170 1
Cu1 Cu 0.3474 0.3474 0.0413 1
Cu2 Cu 0.6526 0.6526 0.9587 1
```

=====

4.
Pa2MnC2: simulated X-ray powder pattern (a wavelength of 1.5418 Å), based on a DFT-relaxed cell (GGA-PBE, Alexandria).

Principal peaks in the range 10 to 90 degrees two-theta, in order of rising 2θ:
two_theta  I_rel
21.78  26
27.21  61
31.86  41
33.35  31
34.45  100
35.83  20
37.19  37
37.95  30
45.64  21
49.27  24

Atomic structure:
```
data_Pa2MnC2
_chemical_formula_sum 'Pa8 Mn4 C8'
_symmetry_space_group_name_H-M 'P 1'
_symmetry_Int_Tables_number 1
_cell_length_a 8.4372
_cell_length_b 5.7039
_cell_length_c 6.4702
_cell_angle_alpha 90.00
_cell_angle_beta 108.35
_cell_angle_gamma 90.00
loop_
_symmetry_equiv_pos_as_xyz
'x,y,z'
loop_
_atom_site_label
_atom_site_type_symbol
_atom_site_fract_x
_atom_site_fract_y
_atom_site_fract_z
_atom_site_occupancy
Pa1 Pa 0.0912 0.2332 0.4306 1
Pa2 Pa 0.0912 0.2668 0.9306 1
Pa3 Pa 0.3153 0.5922 0.3770 1
Pa4 Pa 0.3153 0.9078 0.8770 1
Pa5 Pa 0.6847 0.0922 0.1230 1
Pa6 Pa 0.6847 0.4078 0.6230 1
Pa7 Pa 0.9088 0.7332 0.0694 1
Pa8 Pa 0.9088 0.7668 0.5694 1
Mn1 Mn 0.3954 0.0782 0.3330 1
Mn2 Mn 0.3954 0.4218 0.8330 1
Mn3 Mn 0.6046 0.5782 0.1670 1
Mn4 Mn 0.6046 0.9218 0.6670 1
C1 C 0.1776 0.5698 0.6817 1
C2 C 0.1776 0.9302 0.1817 1
C3 C 0.4296 0.1931 0.6256 1
C4 C 0.4296 0.3069 0.1256 1
C5 C 0.5704 0.6931 0.8744 1
C6 C 0.5704 0.8069 0.3744 1
C7 C 0.8224 0.0698 0.8183 1
C8 C 0.8224 0.4302 0.3183 1
```